1.
Structure and simulated XRD peak list of LaPS4Br (a PBE-relaxed structure; λ = 1.5418 Å (Cu Kα)).

Atomic structure:
```
LaPS4Br
1.0
6.9463 -4.5090 0.0000
6.9463 4.5090 0.0000
-2.1130 0.0000 6.8748
La P S Br
2 2 8 2
Cartesian
2.2753 0.0000 0.5262
9.5044 0.0000 6.3487
3.1679 0.0000 5.0170
8.6118 0.0000 1.8578
2.0260 1.5660 5.7317
3.7572 0.0000 3.1177
2.0260 -1.5660 5.7317
5.0895 0.0000 5.8530
6.6901 0.0000 1.0219
9.7537 1.5660 1.1432
8.0225 0.0000 3.7572
9.7537 -1.5660 1.1432
-0.3897 0.0000 1.7775
12.1694 0.0000 5.0974
```

Top 10 peaks for 2θ from 10° to 80°, low angle first:
11.9 deg, intensity 32
12.9 deg, intensity 60
19.7 deg, intensity 100
21.2 deg, intensity 32
22.7 deg, intensity 38
28.8 deg, intensity 40
31.5 deg, intensity 31
36.3 deg, intensity 30
38.4 deg, intensity 27
45.7 deg, intensity 33

2.
Structure and simulated XRD peak list of Pr2SmYTm5 (a PBE-relaxed structure; λ = 1.5418 Å (Cu Kα)).

Atomic structure:
```
Pr2SmYTm5
1.0
-4.3021 4.3021 7.8087
4.3021 -4.3021 7.8087
4.3021 4.3021 -7.8087
Pr Sm Y Tm
4 2 2 10
Cartesian
5.3221 1.0200 0.0000
1.0200 3.2820 0.0000
3.2820 1.0200 7.8087
-1.0200 3.2820 7.8087
4.3021 0.0000 3.9043
0.0000 4.3021 3.9043
0.0000 0.0000 3.9043
0.0000 0.0000 11.7130
0.0000 0.0000 0.0000
2.4837 1.8184 -2.1892
2.4837 -1.8184 5.6195
2.4837 1.8184 2.1892
2.4837 -1.8184 9.9978
0.0000 0.0000 7.8087
1.8184 6.1204 -2.1892
1.8184 2.4837 5.6195
1.8184 6.1204 2.1892
1.8184 2.4837 9.9978
```

Top 10 peaks for 2θ from 10° to 80°, low angle first:
28.9 deg, intensity 52
29.4 deg, intensity 52
30.9 deg, intensity 100
34.9 deg, intensity 17
38.1 deg, intensity 16
46.5 deg, intensity 12
46.9 deg, intensity 13
48.4 deg, intensity 12
53.1 deg, intensity 22
56.0 deg, intensity 12